(1)
# Nd12AlNi5
Calculated X-ray diffraction stick pattern, λ = 1.5418 Å (Cu Kα). Input: a cell relaxed with GGA-PBE.
No peak broadening, texture or thermal motion is included.

Lattice parameters (Å, degrees): 9.589 9.906 10.262 90.00 90.00 90.00
Space group Immm (No. 71)
Symmetry-distinct sites (fractional):
Nd: 0.000 0.188 0.210 [8 per cell]
Nd: 0.194 0.500 0.176 [8 per cell]
Nd: 0.201 0.319 0.500 [8 per cell]
Al: 0.000 0.000 0.500 [2 per cell]
Ni: 0.000 0.000 0.000 [2 per cell]
Ni: 0.000 0.367 0.000 [4 per cell]
Ni: 0.000 0.500 0.376 [4 per cell]

Principal peaks in the range 2θ from 10° to 90°, sorted by position:
2θ 28.39, I 32
2θ 29.34, I 48
2θ 31.27, I 100
2θ 33.43, I 70
2θ 33.60, I 74
2θ 34.11, I 45
2θ 34.52, I 37
2θ 52.50, I 23
2θ 57.05, I 25
2θ 58.49, I 40

=====

(2)
# Ti4CuN
Calculated X-ray diffraction stick pattern, λ = 1.5418 Å (Cu Kα). Input: a cell relaxed with GGA-PBE.
No peak broadening, texture or thermal motion is included.

Lattice parameters (Å, degrees): 6.992 4.764 6.254 90.00 116.48 90.00
Space group P2_1/c (No. 14)
Symmetry-distinct sites (fractional):
Ti: 0.122 0.250 0.311 [4 per cell]
Ti: 0.260 0.747 0.130 [4 per cell]
Cu: 0.500 0.000 0.500 [2 per cell]
N: 0.000 0.000 0.000 [2 per cell]

Principal peaks in the range 2θ from 10° to 90°, sorted by position:
2θ 24.54, I 60
2θ 31.90, I 31
2θ 34.29, I 28
2θ 37.28, I 100
2θ 40.52, I 22
2θ 40.79, I 36
2θ 47.58, I 25
2θ 48.00, I 30
2θ 50.31, I 38
2θ 79.43, I 26

=====

(3)
# PmPr2Th
Calculated X-ray diffraction stick pattern, λ = 1.5418 Å (Cu Kα). Input: a cell relaxed with GGA-PBE.
No peak broadening, texture or thermal motion is included.

Lattice parameters (Å, degrees): 6.116 6.116 7.388 90.00 90.00 90.00
Space group I-4m2 (No. 119)
Symmetry-distinct sites (fractional):
Pm: 0.000 0.000 0.000 [2 per cell]
Pr: 0.000 0.000 0.500 [2 per cell]
Pr: 0.000 0.500 0.250 [2 per cell]
Th: 0.000 0.500 0.750 [2 per cell]

Principal peaks in the range 2θ from 10° to 90°, sorted by position:
2θ 29.20, I 63
2θ 31.86, I 100
2θ 41.77, I 24
2θ 53.48, I 47
2θ 58.37, I 18
2θ 66.59, I 12
2θ 68.63, I 11
2θ 70.07, I 10
2θ 85.03, I 13
2θ 89.08, I 12